Computed X-ray powder pattern of Cs3As2Br8 for Cu Kα (λ = 1.5418 Å), from a cell relaxed with GGA-PBE.
Neutral-atom scattering factors, no anomalous dispersion.

```
data_Cs3As2Br8
_space_group_name_H-M_alt 'R -3 m'
_space_group_IT_number 166
_space_group_name_Hall '-R 3 2"'
_cell_length_a 8.2244
_cell_length_b 8.2244
_cell_length_c 28.0761
_cell_angle_alpha 90.00
_cell_angle_beta 90.00
_cell_angle_gamma 120.00
loop_
_atom_site_label
_atom_site_type_symbol
_atom_site_fract_x
_atom_site_fract_y
_atom_site_fract_z
Cs1 Cs 0.0000 0.0000 0.0000
Cs2 Cs 0.0000 0.0000 0.2222
As1 As 0.0000 0.0000 0.4456
Br1 Br 0.0000 0.0000 0.3492
Br2 Br 0.0291 0.5145 0.7781
```

Peak list (8 most intense, 2θ from 5° to 70°, in order of rising 2θ)
21.61°, intensity 100; 25.81°, intensity 51; 28.10°, intensity 59; 28.61°, intensity 69; 29.71°, intensity 74; 36.14°, intensity 42; 44.04°, intensity 64; 53.37°, intensity 65